For TmRhO3, a PBE-relaxed structure gives the theoretical XRD peak list in this record (CuKα).

Atomic structure:
Unit cell a=5.7620 b=7.5935 c=5.2432 alpha=90.00 beta=90.00 gamma=90.00
Space group Pnma (No. 62)
One atom of each set of equivalent atoms:
1 Tm 0.0867 0.2500 0.0327 [4 per cell]
2 Rh 0.0000 0.0000 0.5000 [4 per cell]
3 O 0.0588 0.7500 0.3556 [4 per cell]
4 O 0.1891 0.5670 0.8240 [8 per cell]

The 10 most intense peaks (10 to 80 degrees two-theta), by intensity:
d/Å  two_theta  intensity  hkl
2.713  33.02  1000  1 2 1
3.454  25.80  239  1 1 1
2.622  34.20  233  0 0 2
1.900  47.89  214  0 4 0
1.531  60.49  186  1 2 3
1.538  60.16  164  0 4 2
2.881  31.04  160  2 0 0
1.755  52.13  155  3 1 1
2.694  33.26  147  2 1 0
1.879  48.45  131  2 1 2